For NaCaMn2P3H2O12, a DFT-relaxed cell (GGA+U, Alexandria) gives the theoretical powder diffraction line list in this record (λ = 1.5418 Å (Cu Kα)).

Atomic structure:
a b c (Å): 8.913 8.913 6.815
angles (deg): 107.65 107.65 89.60
Atoms (fractional coordinates):
Na 0.050 0.950 0.750
Na 0.950 0.050 0.250
Ca 0.286 0.714 0.250
Ca 0.714 0.286 0.750
Mn 0.054 0.381 0.638
Mn 0.381 0.054 0.138
Mn 0.619 0.946 0.862
Mn 0.946 0.619 0.362
P 0.110 0.318 0.114
P 0.312 0.688 0.750
P 0.318 0.110 0.614
P 0.682 0.890 0.386
P 0.688 0.312 0.250
P 0.890 0.682 0.886
H 0.372 0.375 0.698
H 0.375 0.372 0.198
H 0.625 0.628 0.802
H 0.628 0.625 0.302
O 0.008 0.671 0.099
O 0.046 0.388 0.305
O 0.147 0.151 0.593
O 0.151 0.147 0.093
O 0.195 0.717 0.544
O 0.270 0.426 0.159
O 0.283 0.805 0.956
O 0.285 0.517 0.755
O 0.329 0.992 0.401
O 0.388 0.046 0.805
O 0.426 0.270 0.659
O 0.483 0.715 0.745
O 0.517 0.285 0.255
O 0.574 0.730 0.341
O 0.612 0.954 0.195
O 0.671 0.008 0.599
O 0.715 0.483 0.245
O 0.717 0.195 0.044
O 0.730 0.574 0.841
O 0.805 0.283 0.456
O 0.849 0.853 0.907
O 0.853 0.849 0.407
O 0.954 0.612 0.695
O 0.992 0.329 0.901

Largest 10 diffraction maxima, in order of rising 2θ, 10 to 90 degrees two-theta:
| 2θ/deg | d [Å] | I_rel |
| --- | --- | --- |
| 14.10 | 6.280 | 70 |
| 15.50 | 5.718 | 61 |
| 24.40 | 3.648 | 33 |
| 27.50 | 3.243 | 100 |
| 28.67 | 3.113 | 36 |
| 31.75 | 2.819 | 67 |
| 32.36 | 2.766 | 43 |
| 32.53 | 2.752 | 66 |
| 34.24 | 2.619 | 33 |
| 40.66 | 2.219 | 34 |